# NaSbWO7
Theoretical powder diffraction line list, Cu Kα X-rays. Input: the GGA+U geometry in Alexandria.
Peak positions follow from Bragg's law for the DFT cell and can differ from measured ones.

Cell and atoms:
```
data_NaSbWO7
_chemical_formula_sum 'Na4 Sb4 W4 O28'
_cell_length_a 7.303
_cell_length_b 7.498
_cell_length_c 10.308
_cell_angle_alpha 90.00
_cell_angle_beta 90.00
_cell_angle_gamma 90.00
_symmetry_space_group_name_H-M 'I m m a'
_symmetry_Int_Tables_number 74
_symmetry_space_group_name_Hall '-I 2b 2'
loop_
_atom_site_label
_atom_site_type_symbol
_atom_site_fract_x
_atom_site_fract_y
_atom_site_fract_z
Na1 Na 0.000 0.000 0.000
Sb1 Sb 0.250 0.250 0.250
W1 W 0.000 0.000 0.500
O1 O 0.000 0.250 0.170
O2 O 0.000 0.250 0.564
O3 O 0.000 0.250 0.795
O4 O 0.190 0.062 0.380
```

The 10 most intense peaks (10 to 80 degrees two-theta), in order of rising 2θ:
| d (Å) | 2theta | I (rel.) |
| --- | --- | --- |
| 6.063 | 14.61 | 58.8 |
| 5.959 | 14.87 | 100.0 |
| 3.173 | 28.12 | 38.8 |
| 3.127 | 28.54 | 35.5 |
| 3.109 | 28.71 | 20.7 |
| 3.032 | 29.46 | 72.8 |
| 2.980 | 29.99 | 58.0 |
| 2.616 | 34.28 | 24.4 |
| 1.836 | 49.66 | 37.3 |
| 1.563 | 59.09 | 28.1 |